Starting from the PBE geometry in Alexandria, the X-ray diffraction stick pattern of H4SeI3 was simulated for CuKα.
Lines closer than 0.1° are merged.

Main lines, in order of falling intensity (5° ≤ 2θ ≤ 70°):
| 2theta | Rel. int. |
| --- | --- |
| 24.97 | 100 |
| 23.70 | 32 |
| 21.97 | 27 |
| 37.94 | 27 |
| 15.49 | 24 |
| 31.27 | 21 |

```
data_H4SeI3
_chemical_formula_sum 'H8 Se2 I6'
_cell_length_a 5.2250
_cell_length_b 16.1862
_cell_length_c 6.1148
_cell_angle_alpha 90.00
_cell_angle_beta 90.00
_cell_angle_gamma 90.00
_symmetry_space_group_name_H-M 'P 1'
_symmetry_Int_Tables_number 1
loop_
_symmetry_equiv_pos_as_xyz
'x,y,z'
loop_
_atom_site_label
_atom_site_type_symbol
_atom_site_fract_x
_atom_site_fract_y
_atom_site_fract_z
_atom_site_occupancy
H1 H 0.0000 0.1191 0.0000 1
H2 H 0.0000 0.8809 0.0000 1
H3 H 0.2037 0.0000 0.3706 1
H4 H 0.2963 0.5000 0.8706 1
H5 H 0.5000 0.3809 0.5000 1
H6 H 0.5000 0.6191 0.5000 1
H7 H 0.7037 0.5000 0.8706 1
H8 H 0.7963 0.0000 0.3706 1
Se1 Se 0.0000 0.0000 0.1970 1
Se2 Se 0.5000 0.5000 0.6970 1
I1 I 0.0000 0.1865 0.7904 1
I2 I 0.0000 0.5000 0.2356 1
I3 I 0.0000 0.8135 0.7904 1
I4 I 0.5000 0.0000 0.7356 1
I5 I 0.5000 0.3135 0.2904 1
I6 I 0.5000 0.6865 0.2904 1
```

=====

Starting from the PBE geometry in Alexandria, the X-ray diffraction stick pattern of Cs4Er3ZrTe8 was simulated for CuKα.
Lines closer than 0.1° are merged.

Main lines, in order of falling intensity (5° ≤ 2θ ≤ 70°):
| 2theta | Rel. int. |
| --- | --- |
| 26.63 | 100 |
| 40.41 | 41 |
| 35.49 | 31 |
| 49.05 | 18 |
| 9.92 | 16 |
| 65.35 | 15 |

```
data_Cs4Er3ZrTe8
_chemical_formula_sum 'Cs4 Er3 Zr1 Te8'
_cell_length_a 10.2992
_cell_length_b 10.2992
_cell_length_c 10.2992
_cell_angle_alpha 51.39
_cell_angle_beta 51.39
_cell_angle_gamma 51.39
_symmetry_space_group_name_H-M 'P 1'
_symmetry_Int_Tables_number 1
loop_
_symmetry_equiv_pos_as_xyz
'x,y,z'
loop_
_atom_site_label
_atom_site_type_symbol
_atom_site_fract_x
_atom_site_fract_y
_atom_site_fract_z
_atom_site_occupancy
Cs1 Cs 0.0000 0.0000 0.0000 1
Cs2 Cs 0.0000 0.5000 0.5000 1
Cs3 Cs 0.5000 0.0000 0.5000 1
Cs4 Cs 0.5000 0.5000 0.0000 1
Er1 Er 0.0000 0.0000 0.5000 1
Er2 Er 0.0000 0.5000 0.0000 1
Er3 Er 0.5000 0.0000 0.0000 1
Zr1 Zr 0.5000 0.5000 0.5000 1
Te1 Te 0.2299 0.2299 0.2299 1
Te2 Te 0.2376 0.7246 0.7246 1
Te3 Te 0.2754 0.2754 0.7624 1
Te4 Te 0.2754 0.7624 0.2754 1
Te5 Te 0.7246 0.2376 0.7246 1
Te6 Te 0.7246 0.7246 0.2376 1
Te7 Te 0.7624 0.2754 0.2754 1
Te8 Te 0.7701 0.7701 0.7701 1
```

=====

Starting from the PBE geometry in Alexandria, the X-ray diffraction stick pattern of As2Br3Cl5 was simulated for CuKα.
Lines closer than 0.1° are merged.

Main lines, in order of falling intensity (5° ≤ 2θ ≤ 70°):
| 2theta | Rel. int. |
| --- | --- |
| 15.15 | 100 |
| 32.84 | 43 |
| 20.63 | 38 |
| 18.34 | 31 |
| 25.69 | 24 |
| 36.34 | 23 |

```
data_As2Br3Cl5
_chemical_formula_sum 'As4 Br6 Cl10'
_cell_length_a 10.6352
_cell_length_b 10.6352
_cell_length_c 10.6352
_cell_angle_alpha 113.26
_cell_angle_beta 97.56
_cell_angle_gamma 118.26
_symmetry_space_group_name_H-M 'P 1'
_symmetry_Int_Tables_number 1
loop_
_symmetry_equiv_pos_as_xyz
'x,y,z'
loop_
_atom_site_label
_atom_site_type_symbol
_atom_site_fract_x
_atom_site_fract_y
_atom_site_fract_z
_atom_site_occupancy
As1 As 0.1953 0.0324 0.2278 1
As2 As 0.3047 0.5324 0.8371 1
As3 As 0.6953 0.4676 0.1629 1
As4 As 0.8047 0.9676 0.7722 1
Br1 Br 0.1419 0.5374 0.6793 1
Br2 Br 0.2500 0.2500 0.0000 1
Br3 Br 0.3581 0.0374 0.3955 1
Br4 Br 0.6419 0.9626 0.6045 1
Br5 Br 0.7500 0.7500 0.0000 1
Br6 Br 0.8581 0.4626 0.3207 1
Cl1 Cl 0.0769 0.2500 0.8269 1
Cl2 Cl 0.1558 0.2123 0.3680 1
Cl3 Cl 0.2500 0.7500 0.5000 1
Cl4 Cl 0.3442 0.7123 0.0565 1
Cl5 Cl 0.4231 0.2500 0.1731 1
Cl6 Cl 0.5769 0.7500 0.8269 1
Cl7 Cl 0.6558 0.2877 0.9435 1
Cl8 Cl 0.7500 0.2500 0.5000 1
Cl9 Cl 0.8442 0.7877 0.6320 1
Cl10 Cl 0.9231 0.7500 0.1731 1
```

=====

Starting from the PBE geometry in Alexandria, the X-ray diffraction stick pattern of AcTbPu2O8 was simulated for CuKα.
Lines closer than 0.1° are merged.

Main lines, in order of falling intensity (5° ≤ 2θ ≤ 70°):
| 2theta | Rel. int. |
| --- | --- |
| 28.21 | 100 |
| 47.06 | 33 |
| 55.35 | 32 |
| 32.47 | 25 |
| 46.59 | 17 |
| 56.19 | 15 |

```
data_AcTbPu2O8
_chemical_formula_sum 'Ac1 Tb1 Pu2 O8'
_cell_length_a 6.6699
_cell_length_b 6.6699
_cell_length_c 6.6699
_cell_angle_alpha 131.17
_cell_angle_beta 131.17
_cell_angle_gamma 71.55
_symmetry_space_group_name_H-M 'P 1'
_symmetry_Int_Tables_number 1
loop_
_symmetry_equiv_pos_as_xyz
'x,y,z'
loop_
_atom_site_label
_atom_site_type_symbol
_atom_site_fract_x
_atom_site_fract_y
_atom_site_fract_z
_atom_site_occupancy
Ac1 Ac 0.0000 0.0000 0.0000 1
Tb1 Tb 0.7500 0.2500 0.5000 1
Pu1 Pu 0.2500 0.7500 0.5000 1
Pu2 Pu 0.5000 0.5000 0.0000 1
O1 O 0.1448 0.1311 0.5325 1
O2 O 0.1448 0.6123 0.0137 1
O3 O 0.3877 0.4014 0.5325 1
O4 O 0.3877 0.8552 0.9863 1
O5 O 0.5986 0.1311 0.9863 1
O6 O 0.5986 0.6123 0.4675 1
O7 O 0.8689 0.4014 0.0137 1
O8 O 0.8689 0.8552 0.4675 1
```

=====

Starting from the PBE geometry in Alexandria, the X-ray diffraction stick pattern of Ba2TbTc3O12 was simulated for CuKα.
Lines closer than 0.1° are merged.

Main lines, in order of falling intensity (5° ≤ 2θ ≤ 70°):
| 2theta | Rel. int. |
| --- | --- |
| 29.05 | 100 |
| 29.85 | 55 |
| 30.49 | 52 |
| 49.11 | 48 |
| 28.30 | 45 |
| 23.99 | 33 |

```
data_Ba2TbTc3O12
_chemical_formula_sum 'Ba2 Tb1 Tc3 O12'
_cell_length_a 6.9653
_cell_length_b 6.9653
_cell_length_c 6.9653
_cell_angle_alpha 64.37
_cell_angle_beta 64.37
_cell_angle_gamma 64.37
_symmetry_space_group_name_H-M 'P 1'
_symmetry_Int_Tables_number 1
loop_
_symmetry_equiv_pos_as_xyz
'x,y,z'
loop_
_atom_site_label
_atom_site_type_symbol
_atom_site_fract_x
_atom_site_fract_y
_atom_site_fract_z
_atom_site_occupancy
Ba1 Ba 0.1178 0.1178 0.1178 1
Ba2 Ba 0.8822 0.8822 0.8822 1
Tb1 Tb 0.5000 0.5000 0.5000 1
Tc1 Tc 0.0000 0.5000 0.5000 1
Tc2 Tc 0.5000 0.0000 0.5000 1
Tc3 Tc 0.5000 0.5000 0.0000 1
O1 O 0.1026 0.6211 0.6211 1
O2 O 0.2130 0.2130 0.5932 1
O3 O 0.2130 0.5932 0.2130 1
O4 O 0.3789 0.3789 0.8974 1
O5 O 0.3789 0.8974 0.3789 1
O6 O 0.4068 0.7870 0.7870 1
O7 O 0.5932 0.2130 0.2130 1
O8 O 0.6211 0.1026 0.6211 1
O9 O 0.6211 0.6211 0.1026 1
O10 O 0.7870 0.4068 0.7870 1
O11 O 0.7870 0.7870 0.4068 1
O12 O 0.8974 0.3789 0.3789 1
```

=====

Starting from the PBE geometry in Alexandria, the X-ray diffraction stick pattern of Nb2P2O9 was simulated for CuKα.
Lines closer than 0.1° are merged.

Main lines, in order of falling intensity (5° ≤ 2θ ≤ 70°):
| 2theta | Rel. int. |
| --- | --- |
| 26.89 | 100 |
| 14.96 | 89 |
| 34.74 | 81 |
| 21.81 | 63 |
| 52.74 | 61 |
| 20.47 | 58 |

```
data_Nb2P2O9
_chemical_formula_sum 'Nb4 P4 O18'
_cell_length_a 5.4606
_cell_length_b 5.4606
_cell_length_c 11.8404
_cell_angle_alpha 90.00
_cell_angle_beta 90.00
_cell_angle_gamma 105.24
_symmetry_space_group_name_H-M 'P 1'
_symmetry_Int_Tables_number 1
loop_
_symmetry_equiv_pos_as_xyz
'x,y,z'
loop_
_atom_site_label
_atom_site_type_symbol
_atom_site_fract_x
_atom_site_fract_y
_atom_site_fract_z
_atom_site_occupancy
Nb1 Nb 0.2039 0.7961 0.9405 1
Nb2 Nb 0.2961 0.7039 0.4405 1
Nb3 Nb 0.7039 0.2961 0.5595 1
Nb4 Nb 0.7961 0.2039 0.0595 1
P1 P 0.1063 0.8937 0.6482 1
P2 P 0.3937 0.6063 0.1482 1
P3 P 0.6063 0.3937 0.8518 1
P4 P 0.8937 0.1063 0.3518 1
O1 O 0.0000 0.0000 0.0000 1
O2 O 0.0205 0.6285 0.5859 1
O3 O 0.0637 0.9363 0.3770 1
O4 O 0.1285 0.5205 0.0859 1
O5 O 0.1367 0.8633 0.7744 1
O6 O 0.3633 0.6367 0.2744 1
O7 O 0.3715 0.9795 0.5859 1
O8 O 0.4363 0.5637 0.8770 1
O9 O 0.4795 0.8715 0.0859 1
O10 O 0.5000 0.5000 0.5000 1
O11 O 0.5205 0.1285 0.9141 1
O12 O 0.5637 0.4363 0.1230 1
O13 O 0.6285 0.0205 0.4141 1
O14 O 0.6367 0.3633 0.7256 1
O15 O 0.8633 0.1367 0.2256 1
O16 O 0.8715 0.4795 0.9141 1
O17 O 0.9363 0.0637 0.6230 1
O18 O 0.9795 0.3715 0.4141 1
```

=====

Starting from the PBE geometry in Alexandria, the X-ray diffraction stick pattern of AcPa7N12 was simulated for CuKα.
Lines closer than 0.1° are merged.

Main lines, in order of falling intensity (5° ≤ 2θ ≤ 70°):
| 2theta | Rel. int. |
| --- | --- |
| 29.40 | 100 |
| 52.16 | 46 |
| 42.07 | 22 |
| 69.15 | 19 |
| 61.01 | 14 |

```
data_AcPa7N12
_chemical_formula_sum 'Ac1 Pa7 N12'
_cell_length_a 7.4404
_cell_length_b 7.4404
_cell_length_c 7.4404
_cell_angle_alpha 109.47
_cell_angle_beta 109.47
_cell_angle_gamma 109.47
_symmetry_space_group_name_H-M 'P 1'
_symmetry_Int_Tables_number 1
loop_
_symmetry_equiv_pos_as_xyz
'x,y,z'
loop_
_atom_site_label
_atom_site_type_symbol
_atom_site_fract_x
_atom_site_fract_y
_atom_site_fract_z
_atom_site_occupancy
Ac1 Ac 0.0000 0.0000 0.0000 1
Pa1 Pa 0.0000 0.0000 0.5000 1
Pa2 Pa 0.0000 0.5000 0.0000 1
Pa3 Pa 0.0000 0.5000 0.5000 1
Pa4 Pa 0.5000 0.0000 0.0000 1
Pa5 Pa 0.5000 0.0000 0.5000 1
Pa6 Pa 0.5000 0.5000 0.0000 1
Pa7 Pa 0.5000 0.5000 0.5000 1
N1 N 0.1299 0.8194 0.3105 1
N2 N 0.1806 0.3105 0.4912 1
N3 N 0.1806 0.6895 0.8701 1
N4 N 0.3105 0.1299 0.8194 1
N5 N 0.3105 0.4912 0.1806 1
N6 N 0.4912 0.1806 0.3105 1
N7 N 0.5088 0.8194 0.6895 1
N8 N 0.6895 0.5088 0.8194 1
N9 N 0.6895 0.8701 0.1806 1
N10 N 0.8194 0.3105 0.1299 1
N11 N 0.8194 0.6895 0.5088 1
N12 N 0.8701 0.1806 0.6895 1
```

=====

Starting from the PBE geometry in Alexandria, the X-ray diffraction stick pattern of LaTePI2 was simulated for CuKα.
Lines closer than 0.1° are merged.

Main lines, in order of falling intensity (5° ≤ 2θ ≤ 70°):
| 2theta | Rel. int. |
| --- | --- |
| 28.54 | 100 |
| 14.16 | 92 |
| 40.39 | 77 |
| 24.49 | 73 |
| 27.98 | 53 |
| 13.89 | 50 |

```
data_LaTePI2
_chemical_formula_sum 'La1 Te1 P1 I2'
_cell_length_a 6.2562
_cell_length_b 6.2562
_cell_length_c 6.3779
_cell_angle_alpha 90.00
_cell_angle_beta 90.00
_cell_angle_gamma 90.00
_symmetry_space_group_name_H-M 'P 1'
_symmetry_Int_Tables_number 1
loop_
_symmetry_equiv_pos_as_xyz
'x,y,z'
loop_
_atom_site_label
_atom_site_type_symbol
_atom_site_fract_x
_atom_site_fract_y
_atom_site_fract_z
_atom_site_occupancy
La1 La 0.0000 0.0000 0.0000 1
Te1 Te 0.0000 0.0000 0.5000 1
P1 P 0.5000 0.5000 0.5000 1
I1 I 0.0000 0.5000 0.0000 1
I2 I 0.5000 0.0000 0.0000 1
```

=====

Starting from the PBE geometry in Alexandria, the X-ray diffraction stick pattern of InGaHgPt2 was simulated for CuKα.
Lines closer than 0.1° are merged.

Main lines, in order of falling intensity (5° ≤ 2θ ≤ 70°):
| 2theta | Rel. int. |
| --- | --- |
| 34.73 | 100 |
| 30.71 | 64 |
| 51.89 | 64 |
| 18.41 | 60 |
| 25.27 | 45 |
| 37.32 | 41 |

```
data_InGaHgPt2
_chemical_formula_sum 'In1 Ga1 Hg1 Pt2'
_cell_length_a 5.1665
_cell_length_b 5.1665
_cell_length_c 4.8186
_cell_angle_alpha 90.00
_cell_angle_beta 90.00
_cell_angle_gamma 90.00
_symmetry_space_group_name_H-M 'P 1'
_symmetry_Int_Tables_number 1
loop_
_symmetry_equiv_pos_as_xyz
'x,y,z'
loop_
_atom_site_label
_atom_site_type_symbol
_atom_site_fract_x
_atom_site_fract_y
_atom_site_fract_z
_atom_site_occupancy
In1 In 0.0000 0.0000 0.0000 1
Ga1 Ga 0.5000 0.5000 0.0000 1
Hg1 Hg 0.5000 0.5000 0.5000 1
Pt1 Pt 0.0000 0.5000 0.5000 1
Pt2 Pt 0.5000 0.0000 0.5000 1
```

=====

Starting from the PBE geometry in Alexandria, the X-ray diffraction stick pattern of Sc2MnTc5B2 was simulated for CuKα.
Lines closer than 0.1° are merged.

Main lines, in order of falling intensity (5° ≤ 2θ ≤ 70°):
| 2theta | Rel. int. |
| --- | --- |
| 42.34 | 100 |
| 39.83 | 67 |
| 28.88 | 41 |
| 45.72 | 39 |
| 36.16 | 38 |
| 43.37 | 31 |

```
data_Sc2MnTc5B2
_chemical_formula_sum 'Sc4 Mn2 Tc10 B4'
_cell_length_a 9.3312
_cell_length_b 9.3312
_cell_length_c 3.0914
_cell_angle_alpha 90.00
_cell_angle_beta 90.00
_cell_angle_gamma 90.00
_symmetry_space_group_name_H-M 'P 1'
_symmetry_Int_Tables_number 1
loop_
_symmetry_equiv_pos_as_xyz
'x,y,z'
loop_
_atom_site_label
_atom_site_type_symbol
_atom_site_fract_x
_atom_site_fract_y
_atom_site_fract_z
_atom_site_occupancy
Sc1 Sc 0.1744 0.3256 0.0000 1
Sc2 Sc 0.3256 0.8256 0.0000 1
Sc3 Sc 0.6744 0.1744 0.0000 1
Sc4 Sc 0.8256 0.6744 0.0000 1
Mn1 Mn 0.0000 0.0000 0.0000 1
Mn2 Mn 0.5000 0.5000 0.0000 1
Tc1 Tc 0.0000 0.5000 0.5000 1
Tc2 Tc 0.0669 0.7921 0.5000 1
Tc3 Tc 0.2079 0.0669 0.5000 1
Tc4 Tc 0.2921 0.5669 0.5000 1
Tc5 Tc 0.4331 0.2921 0.5000 1
Tc6 Tc 0.5000 0.0000 0.5000 1
Tc7 Tc 0.5669 0.7079 0.5000 1
Tc8 Tc 0.7079 0.4331 0.5000 1
Tc9 Tc 0.7921 0.9331 0.5000 1
Tc10 Tc 0.9331 0.2079 0.5000 1
B1 B 0.1264 0.6264 0.0000 1
B2 B 0.3736 0.1264 0.0000 1
B3 B 0.6264 0.8736 0.0000 1
B4 B 0.8736 0.3736 0.0000 1
```

=====

Starting from the PBE geometry in Alexandria, the X-ray diffraction stick pattern of RbBa5 was simulated for CuKα.
Lines closer than 0.1° are merged.

Main lines, in order of falling intensity (5° ≤ 2θ ≤ 70°):
| 2theta | Rel. int. |
| --- | --- |
| 23.86 | 100 |
| 28.29 | 34 |
| 47.49 | 31 |
| 38.95 | 24 |
| 26.22 | 17 |
| 61.98 | 13 |

```
data_RbBa5
_chemical_formula_sum 'Rb1 Ba5'
_cell_length_a 4.4613
_cell_length_b 4.4613
_cell_length_c 20.3964
_cell_angle_alpha 90.00
_cell_angle_beta 90.00
_cell_angle_gamma 90.00
_symmetry_space_group_name_H-M 'P 1'
_symmetry_Int_Tables_number 1
loop_
_symmetry_equiv_pos_as_xyz
'x,y,z'
loop_
_atom_site_label
_atom_site_type_symbol
_atom_site_fract_x
_atom_site_fract_y
_atom_site_fract_z
_atom_site_occupancy
Rb1 Rb 0.0000 0.0000 0.0000 1
Ba1 Ba 0.0000 0.0000 0.3425 1
Ba2 Ba 0.0000 0.0000 0.6575 1
Ba3 Ba 0.5000 0.5000 0.1828 1
Ba4 Ba 0.5000 0.5000 0.5000 1
Ba5 Ba 0.5000 0.5000 0.8172 1
```

=====

Starting from the PBE geometry in Alexandria, the X-ray diffraction stick pattern of MgCrAs3 was simulated for CuKα.
Lines closer than 0.1° are merged.

Main lines, in order of falling intensity (5° ≤ 2θ ≤ 70°):
| 2theta | Rel. int. |
| --- | --- |
| 38.10 | 100 |
| 32.84 | 86 |
| 18.78 | 72 |
| 54.98 | 66 |
| 65.54 | 35 |
| 42.80 | 32 |

```
data_MgCrAs3
_chemical_formula_sum 'Mg1 Cr1 As3'
_cell_length_a 4.7239
_cell_length_b 4.7239
_cell_length_c 4.7239
_cell_angle_alpha 90.00
_cell_angle_beta 90.00
_cell_angle_gamma 90.00
_symmetry_space_group_name_H-M 'P 1'
_symmetry_Int_Tables_number 1
loop_
_symmetry_equiv_pos_as_xyz
'x,y,z'
loop_
_atom_site_label
_atom_site_type_symbol
_atom_site_fract_x
_atom_site_fract_y
_atom_site_fract_z
_atom_site_occupancy
Mg1 Mg 0.0000 0.0000 0.0000 1
Cr1 Cr 0.5000 0.5000 0.5000 1
As1 As 0.0000 0.5000 0.5000 1
As2 As 0.5000 0.0000 0.5000 1
As3 As 0.5000 0.5000 0.0000 1
```